# AcHo3Tm6
Simulated PXRD pattern, λ = 1.5418 Å (Cu Kα). Input: the GGA-PBE geometry in Alexandria.
Neutral-atom scattering factors, no anomalous dispersion.

The 10 most intense peaks (10° ≤ 2θ ≤ 90°), sorted by position:
| 2θ/deg | I_rel |
| --- | --- |
| 31.1 | 18 |
| 31.6 | 45 |
| 31.8 | 17 |
| 31.9 | 30 |
| 32.2 | 57 |
| 32.8 | 100 |
| 34.1 | 70 |
| 46.0 | 22 |
| 57.8 | 20 |
| 60.8 | 15 |

Cell and atoms:
Unit cell a=8.4440 b=8.4440 c=8.9577 alpha=118.80 beta=118.80 gamma=38.40
Atoms (fractional coordinates):
Ac1 0.0000 0.0000 0.0000
Ho1 0.2655 0.2655 0.3030
Ho2 0.5000 0.5000 0.5000
Ho3 0.7345 0.7345 0.6970
Tm1 0.1089 0.1089 0.4554
Tm2 0.1678 0.1678 0.8544
Tm3 0.3591 0.3591 0.7457
Tm4 0.6409 0.6409 0.2543
Tm5 0.8322 0.8322 0.1456
Tm6 0.8911 0.8911 0.5446

# Tl4Cl5
Simulated PXRD pattern, λ = 1.5418 Å (Cu Kα). Input: the GGA-PBE geometry in Alexandria.
Neutral-atom scattering factors, no anomalous dispersion.

The 10 most intense peaks (10° ≤ 2θ ≤ 90°), sorted by position:
| 2θ/deg | I_rel |
| --- | --- |
| 18.5 | 97 |
| 22.4 | 60 |
| 26.3 | 33 |
| 32.1 | 100 |
| 33.7 | 29 |
| 34.8 | 34 |
| 39.7 | 42 |
| 47.7 | 18 |
| 48.2 | 35 |
| 53.9 | 27 |

Cell and atoms:
Unit cell a=9.8134 b=9.8134 c=9.8134 alpha=92.57 beta=92.57 gamma=155.55
Atoms (fractional coordinates):
Tl1 0.0000 0.2122 0.2122
Tl2 0.0000 0.7878 0.7878
Tl3 0.2122 0.0000 0.2122
Tl4 0.7878 0.0000 0.7878
Cl1 0.0000 0.0000 0.0000
Cl2 0.3411 0.3411 0.6823
Cl3 0.3411 0.6589 0.0000
Cl4 0.6589 0.3411 0.0000
Cl5 0.6589 0.6589 0.3177

# K2LiPtCl6
Simulated PXRD pattern, λ = 1.5418 Å (Cu Kα). Input: the GGA-PBE geometry in Alexandria.
Neutral-atom scattering factors, no anomalous dispersion.

The 10 most intense peaks (10° ≤ 2θ ≤ 90°), sorted by position:
| 2θ/deg | I_rel |
| --- | --- |
| 14.7 | 41 |
| 15.4 | 100 |
| 17.6 | 59 |
| 24.6 | 25 |
| 25.4 | 32 |
| 28.7 | 24 |
| 29.5 | 39 |
| 31.9 | 25 |
| 38.7 | 26 |
| 52.1 | 23 |

Cell and atoms:
Unit cell a=12.7111 b=12.7111 c=12.7111 alpha=32.05 beta=32.05 gamma=32.05
Atoms (fractional coordinates):
K1 0.1213 0.1213 0.1213
K2 0.3014 0.3014 0.3014
K3 0.6986 0.6986 0.6986
K4 0.8787 0.8787 0.8787
Li1 0.4163 0.4163 0.4163
Li2 0.5837 0.5837 0.5837
Pt1 0.0000 0.0000 0.0000
Pt2 0.5000 0.5000 0.5000
Cl1 0.1385 0.6221 0.6221
Cl2 0.2034 0.2034 0.7131
Cl3 0.2034 0.7131 0.2034
Cl4 0.2869 0.7966 0.7966
Cl5 0.3779 0.3779 0.8615
Cl6 0.3779 0.8615 0.3779
Cl7 0.6221 0.1385 0.6221
Cl8 0.6221 0.6221 0.1385
Cl9 0.7131 0.2034 0.2034
Cl10 0.7966 0.2869 0.7966
Cl11 0.7966 0.7966 0.2869
Cl12 0.8615 0.3779 0.3779

# Sm15Y2Er2
Simulated PXRD pattern, λ = 1.5418 Å (Cu Kα). Input: the GGA-PBE geometry in Alexandria.
Neutral-atom scattering factors, no anomalous dispersion.

The 10 most intense peaks (10° ≤ 2θ ≤ 90°), sorted by position:
| 2θ/deg | I_rel |
| --- | --- |
| 26.2 | 23 |
| 27.0 | 21 |
| 27.6 | 22 |
| 29.6 | 26 |
| 30.8 | 63 |
| 31.4 | 100 |
| 32.0 | 46 |
| 35.4 | 52 |
| 40.9 | 23 |
| 57.0 | 20 |

Cell and atoms:
Unit cell a=8.8416 b=8.8416 c=8.8416 alpha=78.51 beta=78.51 gamma=78.51
Atoms (fractional coordinates):
Sm1 0.0000 0.0000 0.5000
Sm2 0.0000 0.2972 0.7028
Sm3 0.0000 0.5000 0.0000
Sm4 0.0000 0.7028 0.2972
Sm5 0.1544 0.6207 0.6207
Sm6 0.2972 0.0000 0.7028
Sm7 0.2972 0.7028 0.0000
Sm8 0.3793 0.3793 0.8456
Sm9 0.3793 0.8456 0.3793
Sm10 0.5000 0.0000 0.0000
Sm11 0.6207 0.1544 0.6207
Sm12 0.6207 0.6207 0.1544
Sm13 0.7028 0.0000 0.2972
Sm14 0.7028 0.2972 0.0000
Sm15 0.8456 0.3793 0.3793
Y1 0.0936 0.0936 0.0936
Y2 0.9064 0.9064 0.9064
Er1 0.3150 0.3150 0.3150
Er2 0.6850 0.6850 0.6850

# PbAuNF2
Simulated PXRD pattern, λ = 1.5418 Å (Cu Kα). Input: the GGA-PBE geometry in Alexandria.
Neutral-atom scattering factors, no anomalous dispersion.

The 10 most intense peaks (10° ≤ 2θ ≤ 90°), sorted by position:
| 2θ/deg | I_rel |
| --- | --- |
| 26.5 | 64 |
| 30.0 | 100 |
| 37.8 | 38 |
| 49.0 | 54 |
| 54.5 | 13 |
| 55.3 | 18 |
| 61.6 | 13 |
| 62.3 | 17 |
| 63.4 | 13 |
| 76.3 | 15 |

Cell and atoms:
Unit cell a=4.7635 b=4.7635 c=3.8183 alpha=90.00 beta=90.00 gamma=90.00
Atoms (fractional coordinates):
Pb1 0.0000 0.0000 0.0000
Au1 0.5000 0.5000 0.5000
N1 0.5000 0.5000 0.0000
F1 0.0000 0.5000 0.5000
F2 0.5000 0.0000 0.5000

# Cs2Hg7Au
Simulated PXRD pattern, λ = 1.5418 Å (Cu Kα). Input: the GGA-PBE geometry in Alexandria.
Neutral-atom scattering factors, no anomalous dispersion.

The 10 most intense peaks (10° ≤ 2θ ≤ 90°), sorted by position:
| 2θ/deg | I_rel |
| --- | --- |
| 15.5 | 31 |
| 27.7 | 83 |
| 28.5 | 64 |
| 32.5 | 100 |
| 39.1 | 62 |
| 43.8 | 41 |
| 46.6 | 37 |
| 53.6 | 23 |
| 55.1 | 25 |
| 62.4 | 32 |

Cell and atoms:
Unit cell a=5.5113 b=5.5113 c=11.4122 alpha=90.00 beta=90.00 gamma=90.00
Atoms (fractional coordinates):
Cs1 0.0000 0.5000 0.2400
Cs2 0.5000 0.0000 0.7600
Hg1 0.0000 0.0000 0.0000
Hg2 0.0000 0.0000 0.5000
Hg3 0.0000 0.5000 0.6250
Hg4 0.0000 0.5000 0.8907
Hg5 0.5000 0.0000 0.1093
Hg6 0.5000 0.0000 0.3750
Hg7 0.5000 0.5000 0.5000
Au1 0.5000 0.5000 0.0000

# LiCa2In2Ag5
Simulated PXRD pattern, λ = 1.5418 Å (Cu Kα). Input: the GGA-PBE geometry in Alexandria.
Neutral-atom scattering factors, no anomalous dispersion.

The 10 most intense peaks (10° ≤ 2θ ≤ 90°), sorted by position:
| 2θ/deg | I_rel |
| --- | --- |
| 18.4 | 42 |
| 25.5 | 18 |
| 28.1 | 19 |
| 34.3 | 25 |
| 34.9 | 100 |
| 35.3 | 44 |
| 37.8 | 43 |
| 40.6 | 31 |
| 41.5 | 19 |
| 46.3 | 22 |

Cell and atoms:
Unit cell a=10.7927 b=10.7927 c=3.9201 alpha=90.00 beta=90.00 gamma=90.00
Atoms (fractional coordinates):
Li1 0.0000 0.0000 0.0000
Li2 0.5000 0.5000 0.0000
Ca1 0.1685 0.3315 0.0000
Ca2 0.3315 0.8315 0.0000
Ca3 0.6685 0.1685 0.0000
Ca4 0.8315 0.6685 0.0000
In1 0.1335 0.6335 0.0000
In2 0.3665 0.1335 0.0000
In3 0.6335 0.8665 0.0000
In4 0.8665 0.3665 0.0000
Ag1 0.0000 0.5000 0.5000
Ag2 0.0513 0.8147 0.5000
Ag3 0.1853 0.0513 0.5000
Ag4 0.3147 0.5513 0.5000
Ag5 0.4487 0.3147 0.5000
Ag6 0.5000 0.0000 0.5000
Ag7 0.5513 0.6853 0.5000
Ag8 0.6853 0.4487 0.5000
Ag9 0.8147 0.9487 0.5000
Ag10 0.9487 0.1853 0.5000

# TcPbBr4
Simulated PXRD pattern, λ = 1.5418 Å (Cu Kα). Input: the GGA-PBE geometry in Alexandria.
Neutral-atom scattering factors, no anomalous dispersion.

The 10 most intense peaks (10° ≤ 2θ ≤ 90°), sorted by position:
| 2θ/deg | I_rel |
| --- | --- |
| 28.3 | 47 |
| 33.3 | 100 |
| 34.8 | 23 |
| 50.1 | 20 |
| 53.3 | 35 |
| 58.5 | 26 |
| 69.0 | 12 |
| 69.9 | 9 |
| 80.5 | 10 |
| 83.1 | 22 |

Cell and atoms:
Unit cell a=6.3115 b=6.3115 c=6.3115 alpha=60.00 beta=60.00 gamma=60.00
Atoms (fractional coordinates):
Tc1 0.0000 0.0000 0.0000
Pb1 0.2500 0.2500 0.2500
Br1 0.1220 0.6260 0.6260
Br2 0.6260 0.1220 0.6260
Br3 0.6260 0.6260 0.1220
Br4 0.6260 0.6260 0.6260